Starting from a cell relaxed with GGA-PBE, the XRD peak list of Ce7Si2Tc2 was calculated for a wavelength of 1.5418 Å.
Neutral-atom scattering factors, no anomalous dispersion.

The 10 most intense peaks (15 to 90 degrees two-theta), by angle:
- 26.56 deg, I = 307, (2 0 1)
- 28.28 deg, I = 1000, (2 2 0)
- 30.66 deg, I = 626, (1 1 2)
- 33.38 deg, I = 652, (0 4 0)
- 35.71 deg, I = 306, (2 0 2)
- 38.95 deg, I = 453, (1 3 2)
- 39.58 deg, I = 878, (2 2 2)
- 46.56 deg, I = 266, (4 0 0)
- 56.59 deg, I = 226, (2 6 0)
- 63.86 deg, I = 328, (4 0 3)

Structural model:
Cell: 7.803 10.736 6.576 Å, 90.00 90.00 90.00°
Space group Cmmm (No. 65)
Asymmetric unit:
Ce  0.000  0.000  0.000 [2 per cell]
Ce  0.000  0.500  0.287 [4 per cell]
Ce  0.250  0.250  0.280 [8 per cell]
Si  0.153  0.000  0.500 [4 per cell]
Tc  0.000  0.296  0.000 [4 per cell]

***

Starting from a cell relaxed with GGA-PBE, the XRD peak list of Ce3Si2Tc2 was calculated for a wavelength of 1.5418 Å.
Neutral-atom scattering factors, no anomalous dispersion.

The 10 most intense peaks (15 to 90 degrees two-theta), by angle:
- 26.27 deg, I = 486, (0 2 2)
- 33.31 deg, I = 490, (1 1 4)
- 34.06 deg, I = 410, (2 1 0)
- 34.39 deg, I = 481, (1 2 3)
- 34.74 deg, I = 475, (2 1 1)
- 35.27 deg, I = 610, (0 2 4)
- 37.84 deg, I = 743, (1 3 0)
- 39.80 deg, I = 1000, (2 1 3)
- 40.61 deg, I = 515, (0 0 6)
- 56.70 deg, I = 359, (1 3 6)

Structural model:
Cell: 5.586 7.883 13.329 Å, 90.00 90.00 90.00°
Space group Pbcm (No. 57)
Asymmetric unit:
Ce  0.119  0.229  0.250 [4 per cell]
Ce  0.341  0.591  0.096 [8 per cell]
Si  0.114  0.250  0.000 [4 per cell]
Si  0.374  0.617  0.750 [4 per cell]
Tc  0.155  0.531  0.590 [8 per cell]

***

Starting from a cell relaxed with GGA-PBE, the XRD peak list of CeSi3Tc was calculated for a wavelength of 1.5418 Å.
Neutral-atom scattering factors, no anomalous dispersion.

The 10 most intense peaks (15 to 90 degrees two-theta), by angle:
- 22.99 deg, I = 456, (1 0 1)
- 30.25 deg, I = 558, (1 1 0)
- 33.89 deg, I = 1000, (1 0 3)
- 35.05 deg, I = 677, (1 1 2)
- 43.31 deg, I = 490, (2 0 0)
- 46.94 deg, I = 206, (1 1 4)
- 49.55 deg, I = 280, (1 0 5)
- 56.10 deg, I = 466, (2 1 3)
- 62.87 deg, I = 347, (2 2 0)
- 71.36 deg, I = 174, (3 1 0)

Structural model:
Cell: 4.178 4.178 10.251 Å, 90.00 90.00 90.00°
Space group I4mm (No. 107)
Asymmetric unit:
Ce  0.000  0.000  0.000 [2 per cell]
Si  0.000  0.000  0.433 [2 per cell]
Si  0.000  0.500  0.276 [4 per cell]
Tc  0.000  0.000  0.664 [2 per cell]

***

Starting from a cell relaxed with GGA-PBE, the XRD peak list of Ce3Th2Si4 was calculated for a wavelength of 1.5418 Å.
Neutral-atom scattering factors, no anomalous dispersion.

The 10 most intense peaks (15 to 90 degrees two-theta), by angle:
- 23.98 deg, I = 523, (2 0 0)
- 25.99 deg, I = 496, (0 2 1)
- 27.05 deg, I = 650, (0 1 2)
- 31.03 deg, I = 621, (2 1 -2)
- 32.56 deg, I = 997, (1 1 2)
- 32.98 deg, I = 828, (2 2 -1)
- 33.25 deg, I = 534, (1 2 -2)
- 33.39 deg, I = 1000, (2 2 0)
- 36.82 deg, I = 654, (0 3 1)
- 37.21 deg, I = 491, (1 1 -3)

Structural model:
Cell: 7.776 7.773 7.630 Å, 90.00 107.36 90.00°
Space group P2_1/c (No. 14)
Asymmetric unit:
Ce  0.000  0.000  0.000 [2 per cell]
Ce  0.253  0.188  0.752 [4 per cell]
Th  0.297  0.681  0.915 [4 per cell]
Si  0.011  0.615  0.119 [4 per cell]
Si  0.422  0.024  0.122 [4 per cell]

***

Starting from a cell relaxed with GGA-PBE, the XRD peak list of Ce4Tl2Si was calculated for a wavelength of 1.5418 Å.
Neutral-atom scattering factors, no anomalous dispersion.

The 10 most intense peaks (15 to 90 degrees two-theta), by angle:
- 16.74 deg, I = 466, (1 0 0)
- 25.84 deg, I = 275, (1 2 0)
- 26.83 deg, I = 660, (1 0 2)
- 31.35 deg, I = 519, (0 3 1)
- 33.00 deg, I = 267, (0 1 3)
- 33.41 deg, I = 1000, (1 2 2)
- 33.85 deg, I = 611, (2 0 0)
- 35.75 deg, I = 596, (1 3 1)
- 37.22 deg, I = 492, (1 1 3)
- 46.80 deg, I = 346, (2 3 1)

Structural model:
Cell: 5.297 9.082 8.534 Å, 90.00 90.00 90.00°
Space group Amm2 (No. 38)
Asymmetric unit:
Ce  0.000  0.000  0.000 [2 per cell]
Ce  0.000  0.000  0.315 [2 per cell]
Ce  0.500  0.250  0.409 [4 per cell]
Tl  0.000  0.167  0.658 [4 per cell]
Si  0.500  0.000  0.158 [2 per cell]

***

Starting from a cell relaxed with GGA-PBE, the XRD peak list of CeTm2Si4 was calculated for a wavelength of 1.5418 Å.
Neutral-atom scattering factors, no anomalous dispersion.

The 10 most intense peaks (15 to 90 degrees two-theta), by angle:
- 21.67 deg, I = 276, (0 1 1)
- 27.68 deg, I = 656, (1 0 3)
- 30.90 deg, I = 282, (0 0 6)
- 33.01 deg, I = 1000, (1 1 2)
- 33.42 deg, I = 577, (0 1 5)
- 42.86 deg, I = 238, (0 2 0)
- 46.82 deg, I = 184, (2 0 0)
- 51.79 deg, I = 240, (1 2 3)
- 52.99 deg, I = 324, (1 1 8)
- 58.74 deg, I = 229, (2 1 5)

Structural model:
Cell: 3.881 4.220 17.363 Å, 90.00 90.00 90.00°
Space group Immm (No. 71)
Asymmetric unit:
Ce  0.000  0.000  0.000 [2 per cell]
Tm  0.000  0.500  0.317 [4 per cell]
Si  0.000  0.000  0.433 [4 per cell]
Si  0.000  0.500  0.150 [4 per cell]

***

Starting from a cell relaxed with GGA-PBE, the XRD peak list of CeYSi2 was calculated for a wavelength of 1.5418 Å.
Neutral-atom scattering factors, no anomalous dispersion.

The 10 most intense peaks (15 to 90 degrees two-theta), by angle:
- 22.01 deg, I = 306, (0 1 1)
- 28.46 deg, I = 520, (1 0 2)
- 32.01 deg, I = 1000, (1 1 1)
- 32.45 deg, I = 518, (0 1 3)
- 33.54 deg, I = 279, (0 0 4)
- 40.12 deg, I = 377, (1 1 3)
- 41.39 deg, I = 238, (0 2 0)
- 51.00 deg, I = 207, (1 2 2)
- 53.26 deg, I = 175, (1 1 5)
- 58.19 deg, I = 190, (2 1 3)

Structural model:
Cell: 3.874 4.363 10.688 Å, 90.00 90.00 90.00°
Space group Amm2 (No. 38)
Asymmetric unit:
Ce  0.000  0.000  0.000 [2 per cell]
Y  0.500  0.000  0.720 [2 per cell]
Si  0.000  0.000  0.285 [2 per cell]
Si  0.500  0.000  0.433 [2 per cell]

***

Starting from a cell relaxed with GGA-PBE, the XRD peak list of CeY4Si4 was calculated for a wavelength of 1.5418 Å.
Neutral-atom scattering factors, no anomalous dispersion.

The 10 most intense peaks (15 to 90 degrees two-theta), by angle:
- 25.94 deg, I = 256, (1 2 0)
- 27.19 deg, I = 371, (2 1 1)
- 30.08 deg, I = 331, (2 0 3)
- 31.79 deg, I = 698, (1 2 3)
- 32.27 deg, I = 1000, (2 1 3)
- 33.61 deg, I = 597, (0 2 4)
- 33.89 deg, I = 341, (2 2 1)
- 37.34 deg, I = 253, (1 3 1)
- 37.96 deg, I = 335, (3 1 0)
- 57.17 deg, I = 346, (3 3 4)

Structural model:
Cell: 7.470 7.748 14.705 Å, 90.00 90.00 90.00°
Space group P2_12_12_1 (No. 19)
Asymmetric unit:
Ce  0.221  0.181  0.348 [4 per cell]
Y  0.066  0.679  0.627 [4 per cell]
Y  0.067  0.680  0.372 [4 per cell]
Y  0.102  0.513  0.000 [4 per cell]
Y  0.220  0.183  0.650 [4 per cell]
Si  0.014  0.376  0.499 [4 per cell]
Si  0.102  0.471  0.790 [4 per cell]
Si  0.108  0.475  0.209 [4 per cell]
Si  0.228  0.106  0.000 [4 per cell]